Theoretical PXRD pattern of NaErCu2F8 for copper Kα, from the GGA-PBE geometry in the Materials Project.
Kinematic intensities with the Lorentz-polarization factor, no thermal factor.

Largest 12 diffraction maxima, in order of rising 2θ, 10 to 90 degrees two-theta:
- hkl 1 0 1, d = 4.803 Å, I 61.2
- hkl 1 1 2, d = 3.079 Å, I 100.0
- hkl 1 0 3, d = 2.905 Å, I 14.0
- hkl 2 0 0, d = 2.714 Å, I 17.3
- hkl 2 1 1, d = 2.363 Å, I 20.1
- hkl 2 1 3, d = 1.983 Å, I 15.4
- hkl 2 2 0, d = 1.919 Å, I 17.5
- hkl 2 0 4, d = 1.870 Å, I 38.3
- hkl 3 1 2, d = 1.629 Å, I 30.5
- hkl 1 1 6, d = 1.569 Å, I 13.4
- hkl 2 2 4, d = 1.540 Å, I 8.8
- hkl 4 2 0, d = 1.214 Å, I 16.3

Cell and atoms:
Lattice parameters (Å, degrees): 5.4275 5.4275 10.3167 90.00 90.00 90.00
Space group I422 (No. 97)
Unique sites:
1 Na 0.0000 0.0000 0.0000
2 Er 0.0000 0.0000 0.5000
3 Cu 0.0000 0.5000 0.2500
4 F 0.1673 0.3079 0.6207